Simulated powder diffraction line list
Compound: K6Au2Se
Radiation: CuKα
Structure: a cell relaxed with GGA-PBE
Lines closer than 0.1° are merged.

Most intense lines, 15° ≤ 2θ ≤ 90°, sorted by position:
Position (°2θ)  I/Imax
19.37  976
22.40  111
31.89  1000
37.58  564
45.75  118
50.07  208
56.78  241
56.88  118
60.66  117
70.09  123

```
K6Au2Se
1.0
-2.8073 3.9755 8.4048
2.8073 -3.9755 8.4048
2.8073 3.9755 -8.4048
K Au Se
6 2 1
Cartesian
2.8073 1.9299 -2.7119
0.0000 1.8761 0.0000
2.8073 1.9299 2.7119
0.0000 2.0457 5.6929
0.0000 6.0750 0.0000
0.0000 2.0457 11.1167
2.8073 0.0000 5.6333
0.0000 3.9755 2.7715
2.8073 0.0000 0.0000
```